This entry pairs a crystal structure of CsRbAs with its theoretical XRD peak list. Radiation: Cu Kα X-rays. Structure: DFT lattice parameters and positions (PBE).
Intensities are scaled so that the largest is 100.

Largest 10 diffraction maxima, sorted by position, 2θ from 15° to 90°:
2θ = 18.03°, intensity 21, hkl 1 1 1; 2θ = 20.85°, intensity 27, hkl 2 0 0; 2θ = 29.66°, intensity 100, hkl 2 2 0; 2θ = 34.93°, intensity 12, hkl 3 1 1; 2θ = 42.44°, intensity 18, hkl 4 0 0; 2θ = 47.74°, intensity 12, hkl 4 2 0; 2θ = 52.63°, intensity 39, hkl 4 2 2; 2θ = 61.58°, intensity 12, hkl 4 4 0; 2θ = 69.82°, intensity 17, hkl 6 2 0; 2θ = 85.24°, intensity 20, hkl 6 4 2

Atomic structure:
```
12
Lattice="8.5199 0.0000 0.0000 0.0000 8.5199 0.0000 0.0000 0.0000 8.5199" Properties=species:S:1:pos:R:3 pbc="T T T"
Cs 0.0000 0.0000 0.0000
Cs 0.0000 4.2600 4.2600
Cs 4.2600 0.0000 4.2600
Cs 4.2600 4.2600 0.0000
Rb 0.0000 0.0000 4.2600
Rb 0.0000 4.2600 0.0000
Rb 4.2600 0.0000 0.0000
Rb 4.2600 4.2600 4.2600
As 2.1300 2.1300 6.3899
As 2.1300 6.3899 2.1300
As 6.3899 2.1300 2.1300
As 6.3899 6.3899 6.3899
```